Starting from DFT lattice parameters and positions (PBE), the X-ray diffraction stick pattern of Sc3CoC3 was calculated for CuKα.
Intensities are scaled so that the largest is 100.

Peak list (10 most intense, 10° ≤ 2θ ≤ 80°, sorted by position)
- 23.85°, rel. 14, hkl 1 1 1
- 34.73°, rel. 100, hkl 2 2 1
- 35.71°, rel. 24, hkl 1 3 1
- 37.37°, rel. 24, hkl 0 4 0
- 38.56°, rel. 49, hkl 0 0 2
- 44.72°, rel. 23, hkl 4 0 0
- 54.78°, rel. 13, hkl 0 4 2
- 60.49°, rel. 17, hkl 4 0 2
- 67.30°, rel. 13, hkl 2 2 3
- 72.63°, rel. 17, hkl 3 5 2

Atomic structure:
a b c (Å): 8.107 9.625 4.670
angles (deg): 90.00 90.00 90.00
Space group Cmcm (No. 63)
Symmetry-distinct sites (fractional):
Sc 0.000 0.107 0.250 [4 per cell]
Sc 0.221 0.378 0.250 [8 per cell]
Co 0.000 0.307 0.750 [4 per cell]
C 0.000 0.120 0.750 [4 per cell]
C 0.211 0.373 0.750 [8 per cell]

=====

Starting from DFT lattice parameters and positions (PBE), the X-ray diffraction stick pattern of TaCo2SiC was calculated for CuKα.
Intensities are scaled so that the largest is 100.

Peak list (10 most intense, 10° ≤ 2θ ≤ 80°, sorted by position)
- 19.30°, rel. 92, hkl 1 0 0
- 21.84°, rel. 93, hkl 0 0 1
- 29.31°, rel. 100, hkl 1 0 1
- 39.18°, rel. 70, hkl 2 0 0
- 44.03°, rel. 22, hkl 2 1 0
- 44.54°, rel. 24, hkl 0 0 2
- 45.30°, rel. 55, hkl 2 0 1
- 49.67°, rel. 48, hkl 2 1 1
- 56.61°, rel. 23, hkl 2 2 0
- 60.79°, rel. 37, hkl 2 0 2

Atomic structure:
a b c (Å): 4.599 4.599 4.069
angles (deg): 90.00 90.00 90.00
Space group P4/mmm (No. 123)
Symmetry-distinct sites (fractional):
Ta 0.000 0.000 0.000 [1 per cell]
Co 0.000 0.500 0.000 [2 per cell]
Si 0.500 0.500 0.500 [1 per cell]
C 0.000 0.000 0.500 [1 per cell]